# BaMg6Si
Theoretical X-ray powder pattern, Cu Kα, 1.54184 Å. Input: a GGA-PBE-relaxed structure.
Lines closer than 0.1° are merged.

Atomic structure:
abc: 4.9505 6.0875 14.2706
angles: 90.00 90.00 90.00
Space group Amm2 (No. 38)
Asymmetric unit:
Ba  0.0000  0.0000  0.0000 x2
Mg  0.0000  0.2424  0.7362 x4
Mg  0.5000  0.0000  0.1688 x2
Mg  0.5000  0.0000  0.6010 x2
Mg  0.5000  0.2447  0.3708 x4
Si  0.0000  0.0000  0.3989 x2

Principal peaks in the range 2θ = 10–90°, by angle:
2θ (°)	Rel. int.	h k l
15.83	73	0 1 1
23.74	45	0 1 3
23.99	76	1 1 1
29.90	89	1 1 3
30.89	86	1 0 4
31.97	52	0 2 2
36.29	47	2 0 0
36.88	100	1 2 2